Calculated powder X-ray diffraction pattern of Pr2HoGe3Rh4 for a wavelength of 1.5418 Å, from DFT lattice parameters and positions (PBE).
Lines closer than 0.1° are merged.

Structure:
Unit cell a=4.208 b=4.208 c=11.189 alpha=90.00 beta=90.00 gamma=90.00
Space group P-4m2 (No. 115)
Inequivalent atoms, fractional coordinates:
Pr 0.000 0.500 0.231 x2
Ho 0.000 0.000 0.500 x1
Ge 0.000 0.500 0.879 x2
Ge 0.500 0.500 0.500 x1
Rh 0.000 0.000 0.000 x1
Rh 0.000 0.500 0.657 x2
Rh 0.500 0.500 0.000 x1

Main lines, by angle (2θ from 10° to 80°):
index  two_theta  I_rel
1 0 3  32.1  42
1 1 2  34.1  100
1 0 4  38.7  11
2 0 0  43.0  49
1 1 4  44.5  18
1 0 5  45.9  20
2 1 3  54.6  22
2 2 0  62.4  16
2 1 5  64.7  14
3 1 2  73.1  21